The following is a computed PXRD pattern of MgMnVP2O8F2. It was derived from a GGA+U-relaxed structure, using a wavelength of 1.5418 Å.
Lines closer than 0.1° are merged.

Largest 10 diffraction maxima, low angle first, 15 to 90 degrees two-theta:
two_theta	Rel. int.	index
17.8	32.3	0 1 0
18.2	44.8	1 0 -1
22.4	16.7	1 -1 0
25.7	53.1	1 0 1
25.9	100.0	0 1 1
26.3	18.5	-1 1 1
28.8	74.4	1 1 -2
34.9	19.2	1 -1 2
36.8	23.7	1 -2 1
45.4	18.6	2 1 -3

Crystal structure
```
data_MgMnVP2O8F2
_space_group_name_H-M_alt 'P 1'
_space_group_IT_number 1
_cell_length_a 5.3255
_cell_length_b 5.3505
_cell_length_c 7.4704
_cell_angle_alpha 107.99
_cell_angle_beta 106.75
_cell_angle_gamma 96.06
loop_
_space_group_symop_operation_xyz
'x,y,z'
loop_
_atom_site_label
_atom_site_fract_x
_atom_site_fract_y
_atom_site_fract_z
_atom_site_occupancy
Mg1 0.0000 0.0000 0.0000 1
Mn1 0.4995 0.1779 0.7732 1
V1 0.0258 0.6850 0.3038 1
P1 0.4389 0.7755 0.0289 1
P2 0.6084 0.5814 0.5527 1
O1 0.2685 0.8294 0.1708 1
O2 0.3078 0.5205 0.4390 1
O3 0.3380 0.9690 0.9136 1
O4 0.3509 0.4785 0.8944 1
O5 0.6853 0.3748 0.6548 1
O6 0.7055 0.8714 0.7230 1
O7 0.7475 0.8603 0.1324 1
O8 0.7647 0.5674 0.4073 1
F1 0.1599 0.0209 0.5203 1
F2 0.8998 0.3440 0.0587 1
```

***

The following is a computed PXRD pattern of BaCaCeCrO6. It was derived from a GGA+U-relaxed structure, using a wavelength of 1.5418 Å.
Lines closer than 0.1° are merged.

Largest 10 diffraction maxima, low angle first, 15 to 90 degrees two-theta:
two_theta	Rel. int.	index
18.5	25.8	1 1 1
30.4	100.0	2 2 0
35.8	18.1	3 1 1
43.5	34.3	4 0 0
47.6	9.5	3 3 1
54.0	38.6	4 2 2
63.2	20.3	4 4 0
71.7	17.1	6 2 0
79.9	6.6	4 4 4
87.8	20.5	6 4 2

Crystal structure
```
data_BaCaCeCrO6
_space_group_name_H-M_alt 'F -4 3 m'
_space_group_IT_number 216
_space_group_name_Hall 'F -4 2 3'
_cell_length_a 8.3208
_cell_length_b 8.3208
_cell_length_c 8.3208
_cell_angle_alpha 90.00
_cell_angle_beta 90.00
_cell_angle_gamma 90.00
loop_
_atom_site_label
_atom_site_fract_x
_atom_site_fract_y
_atom_site_fract_z
_atom_site_occupancy
Ba1 0.0000 0.0000 0.0000 1
Ca1 0.0000 0.0000 0.5000 1
Ce1 0.2500 0.2500 0.7500 1
Cr1 0.2500 0.2500 0.2500 1
O1 0.0159 0.2500 0.2500 1
```

***

The following is a computed PXRD pattern of MgV4O8F4. It was derived from a GGA+U-relaxed structure, using a wavelength of 1.5418 Å.
Lines closer than 0.1° are merged.

Largest 10 diffraction maxima, low angle first, 15 to 90 degrees two-theta:
two_theta	Rel. int.	index
22.7	100.0	0 1 1
24.3	90.2	1 0 2
24.6	94.0	1 1 -1
32.8	20.9	1 0 -2
33.5	30.9	1 1 3
34.0	23.2	0 1 -3
41.0	22.4	2 1 -1
46.3	23.0	0 2 2
49.8	20.6	2 0 4
55.4	18.7	2 1 5

Crystal structure
```
data_MgV4O8F4
_space_group_name_H-M_alt 'P 1'
_space_group_IT_number 1
_cell_length_a 5.0314
_cell_length_b 5.2011
_cell_length_c 9.3003
_cell_angle_alpha 88.70
_cell_angle_beta 74.68
_cell_angle_gamma 63.24
loop_
_space_group_symop_operation_xyz
'x,y,z'
loop_
_atom_site_label
_atom_site_fract_x
_atom_site_fract_y
_atom_site_fract_z
_atom_site_occupancy
Mg1 0.0000 0.0000 0.0000 1
V1 0.2762 0.8727 0.5586 1
V2 0.2876 0.3650 0.0594 1
V3 0.7033 0.1816 0.3304 1
V4 0.8743 0.5391 0.7942 1
O1 0.0569 0.6108 0.9203 1
O2 0.1577 0.2480 0.6784 1
O3 0.4439 0.5096 0.4224 1
O4 0.5852 0.1428 0.1700 1
O5 0.6183 0.9354 0.4335 1
O6 0.6891 0.3631 0.9179 1
O7 0.9754 0.8305 0.6755 1
O8 0.9897 0.3063 0.1666 1
F1 0.0432 0.1026 0.4195 1
F2 0.1753 0.7372 0.1560 1
F3 0.4142 0.9982 0.9251 1
F4 0.5645 0.6500 0.6805 1
```

***

The following is a computed PXRD pattern of ErAgW2O8. It was derived from a GGA+U-relaxed structure, using a wavelength of 1.5418 Å.
Lines closer than 0.1° are merged.

Largest 10 diffraction maxima, low angle first, 15 to 90 degrees two-theta:
two_theta	Rel. int.	index
27.6	69.8	1 3 -1
27.7	100.0	2 2 0
28.4	56.3	3 1 -1
29.8	81.1	2 2 -2
30.8	65.0	0 0 2
34.5	38.0	1 3 1
46.0	25.6	3 1 1
50.5	33.3	0 6 0
53.9	25.5	5 3 -3
55.8	24.6	5 3 -1

Crystal structure
```
data_ErAgW2O8
_space_group_name_H-M_alt 'C 1 2/m 1'
_space_group_IT_number 12
_cell_length_a 10.0062
_cell_length_b 10.8450
_cell_length_c 7.2790
_cell_angle_alpha 90.00
_cell_angle_beta 127.03
_cell_angle_gamma 90.00
loop_
_space_group_symop_operation_xyz
'x,y,z'
'-x,-y,-z'
'-x,y,-z'
'x,-y,z'
'x+1/2,y+1/2,z'
'-x+1/2,-y+1/2,-z'
'-x+1/2,y+1/2,-z'
'x+1/2,-y+1/2,z'
loop_
_atom_site_label
_atom_site_fract_x
_atom_site_fract_y
_atom_site_fract_z
_atom_site_occupancy
Er1 0.0000 0.1990 0.0000 1
Ag1 0.1814 0.0000 0.5219 1
W1 0.0000 0.3365 0.5000 1
W2 0.2126 0.5000 0.9719 1
O1 0.0219 0.5000 0.3409 1
O2 0.0475 0.2355 0.3479 1
O3 0.0531 0.0000 0.8604 1
O4 0.1704 0.3699 0.0894 1
O5 0.2296 0.3741 0.7603 1
```

***

The following is a computed PXRD pattern of Li9Co7O16. It was derived from a GGA+U-relaxed structure, using a wavelength of 1.5418 Å.
Lines closer than 0.1° are merged.

Largest 10 diffraction maxima, low angle first, 15 to 90 degrees two-theta:
two_theta	Rel. int.	index
18.5	100.0	0 1 0
36.2	14.3	1 0 -4
36.7	25.8	2 -1 0
38.1	8.0	2 0 0
43.7	27.4	1 1 -4
44.4	51.6	2 -2 0
48.2	8.8	2 1 0
58.5	9.3	2 -3 0
63.7	14.5	2 2 0
64.3	7.6	-3 1 4

Crystal structure
```
data_Li9Co7O16
_space_group_name_H-M_alt 'P -1'
_space_group_IT_number 2
_cell_length_a 4.9874
_cell_length_b 5.0569
_cell_length_c 11.5676
_cell_angle_alpha 90.35
_cell_angle_beta 90.71
_cell_angle_gamma 108.84
loop_
_space_group_symop_operation_xyz
'x,y,z'
'-x,-y,-z'
loop_
_atom_site_label
_atom_site_fract_x
_atom_site_fract_y
_atom_site_fract_z
_atom_site_occupancy
Li1 0.0000 0.0000 0.0000 1
Li2 0.0000 0.0000 0.5000 1
Li3 0.0014 0.0014 0.2481 1
Li4 0.4993 0.0004 0.3775 1
Li5 0.4990 0.9987 0.1228 1
Li6 0.5000 0.5000 0.0000 1
Co1 0.0016 0.4971 0.3750 1
Co2 0.0060 0.5000 0.8785 1
Co3 0.4968 0.4962 0.2440 1
Co4 0.5000 0.5000 0.5000 1
O1 0.2136 0.7200 0.9983 1
O2 0.2295 0.7279 0.2418 1
O3 0.2334 0.2757 0.8703 1
O4 0.2361 0.7300 0.7593 1
O5 0.2428 0.2780 0.1313 1
O6 0.2545 0.2728 0.3806 1
O7 0.2546 0.7297 0.5005 1
O8 0.2656 0.2798 0.6218 1
```